# 1
The following is a computed X-ray powder pattern of La4In3. It was derived from a GGA-PBE-relaxed structure, using copper Kα.

Most intense lines, 10° ≤ 2θ ≤ 90°, sorted by position:
2θ (°), intensity, index
29.4, 5.2, 2 0 2
31.9, 100.0, 1 4 0
36.3, 9.0, 3 1 2
40.2, 5.0, 2 3 2
45.7, 13.9, 4 2 2
56.8, 21.1, 6 3 0

Crystal structure
a b c (Å): 14.8374 14.8374 6.8979
angles (deg): 90.00 90.00 120.00
Space group R-3 (No. 148, hexagonal axes)
Symmetry-distinct sites (fractional):
La 0.0000 0.0000 0.0000
La 0.0000 0.0000 0.5000
La 0.0632 0.2564 0.2155
In 0.0595 0.2350 0.7262

=====

# 2
The following is a computed X-ray powder pattern of La8In3. It was derived from a GGA-PBE-relaxed structure, using copper Kα.

Most intense lines, 10° ≤ 2θ ≤ 90°, sorted by position:
2θ (°), intensity, index
30.5, 100.0, 1 1 3
31.0, 95.5, 3 1 -2
34.4, 35.5, 4 0 1
35.2, 33.8, 2 0 -5
37.2, 29.5, 0 2 0
51.5, 22.3, 4 2 1

Crystal structure
a b c (Å): 11.4966 4.8382 13.0732
angles (deg): 90.00 103.34 90.00
Space group C2/m (No. 12)
Symmetry-distinct sites (fractional):
La 0.0475 0.0000 0.3169
La 0.1278 0.0000 0.9568
La 0.1894 0.5000 0.7743
La 0.2209 0.0000 0.5837
In 0.0000 0.5000 0.5000
In 0.0957 0.5000 0.1396

=====

# 3
The following is a computed X-ray powder pattern of La2In3. It was derived from a GGA-PBE-relaxed structure, using copper Kα.

Most intense lines, 10° ≤ 2θ ≤ 90°, sorted by position:
2θ (°), intensity, index
29.1, 25.2, 2 0 1
31.3, 100.0, 2 1 1
36.3, 56.8, 0 0 2
52.2, 26.4, 3 1 2
62.1, 13.6, 2 1 3
67.1, 11.4, 5 2 1

Crystal structure
a b c (Å): 7.8301 7.8301 4.9592
angles (deg): 90.00 90.00 90.00
Space group P4/mbm (No. 127)
Symmetry-distinct sites (fractional):
La 0.1699 0.3301 0.0000
In 0.0000 0.0000 0.5000
In 0.1323 0.6323 0.5000

=====

# 4
The following is a computed X-ray powder pattern of La4In. It was derived from a GGA-PBE-relaxed structure, using copper Kα.

Most intense lines, 10° ≤ 2θ ≤ 90°, sorted by position:
2θ (°), intensity, index
29.1, 39.8, 0 2 0
30.7, 63.3, 1 0 2
31.0, 25.3, 0 2 1
31.7, 92.8, 2 1 -1
32.1, 100.0, 1 1 -3
42.8, 23.4, 1 2 2

Crystal structure
a b c (Å): 6.3834 6.1296 9.4323
angles (deg): 90.00 114.75 90.00
Space group P2_1/c (No. 14)
Symmetry-distinct sites (fractional):
La 0.0649 0.1054 0.1929
La 0.3306 0.5194 0.1070
In 0.5000 0.0000 0.0000

=====

# 5
The following is a computed X-ray powder pattern of Li2La3In5. It was derived from a GGA-PBE-relaxed structure, using copper Kα.

Most intense lines, 10° ≤ 2θ ≤ 90°, sorted by position:
2θ (°), intensity, index
27.1, 80.5, 2 1 1
30.7, 42.4, 2 2 1
32.9, 100.0, 3 1 1
34.3, 55.6, 4 1 0
40.1, 32.6, 0 0 2
53.7, 32.8, 4 1 2

Crystal structure
a b c (Å): 10.7860 10.7860 4.5017
angles (deg): 90.00 90.00 90.00
Space group P4/mbm (No. 127)
Symmetry-distinct sites (fractional):
Li 0.1164 0.3836 0.0000
La 0.0000 0.0000 0.0000
La 0.1767 0.6767 0.0000
In 0.0000 0.5000 0.5000
In 0.0700 0.2215 0.5000

=====

# 6
The following is a computed X-ray powder pattern of Li3La2In5. It was derived from a GGA-PBE-relaxed structure, using copper Kα.

Most intense lines, 10° ≤ 2θ ≤ 90°, sorted by position:
2θ (°), intensity, index
29.1, 32.9, 2 3 1
30.6, 38.0, 3 2 1
31.4, 100.0, 2 4 0
31.5, 98.1, 2 0 2
38.6, 74.9, 0 4 2
44.7, 33.7, 5 2 1

Crystal structure
a b c (Å): 11.2641 13.2280 6.5910
angles (deg): 90.00 90.00 90.00
Space group Ibam (No. 72)
Symmetry-distinct sites (fractional):
Li 0.0000 0.0000 0.2500
Li 0.1104 0.3707 0.0000
La 0.2394 0.3685 0.5000
In 0.0000 0.2359 0.2500
In 0.0000 0.5000 0.2500
In 0.1595 0.1083 0.5000

=====

# 7
The following is a computed X-ray powder pattern of Li3La2In4. It was derived from a GGA-PBE-relaxed structure, using copper Kα.

Most intense lines, 10° ≤ 2θ ≤ 90°, sorted by position:
2θ (°), intensity, index
21.1, 45.9, 0 4 0
23.5, 47.4, 0 2 2
32.0, 100.0, 1 5 1
32.3, 72.3, 2 2 1
33.4, 60.9, 0 2 3
35.7, 78.3, 2 0 2

Crystal structure
a b c (Å): 6.2488 16.8054 8.4862
angles (deg): 90.00 90.00 90.00
Space group Cmce (No. 64)
Symmetry-distinct sites (fractional):
Li 0.0000 0.0000 0.0000
Li 0.2500 0.2325 0.2500
La 0.0000 0.1052 0.5991
In 0.0000 0.1744 0.9908
In 0.2500 0.0652 0.2500

=====

# 8
The following is a computed X-ray powder pattern of LiLa4In3. It was derived from a GGA-PBE-relaxed structure, using copper Kα.

Most intense lines, 10° ≤ 2θ ≤ 90°, sorted by position:
2θ (°), intensity, index
32.1, 100.0, 1 1 0
46.0, 18.1, 2 0 8
57.1, 27.6, 1 2 8
57.2, 9.5, 3 0 0
67.1, 5.8, 2 2 0
76.3, 15.4, 3 1 8

Crystal structure
a b c (Å): 5.5782 5.5782 27.3922
angles (deg): 90.00 90.00 120.00
Space group R-3m (No. 166, hexagonal axes)
Symmetry-distinct sites (fractional):
Li 0.0000 0.0000 0.0000
La 0.0000 0.0000 0.1257
La 0.0000 0.0000 0.3766
In 0.0000 0.0000 0.2546
In 0.0000 0.0000 0.5000